# Ba5Bi3F
Theoretical powder X-ray diffraction pattern, Cu Kα, 1.54184 Å. Input: a GGA-PBE-relaxed structure.
Lines closer than 0.1° are merged.

Peak list (10 most intense, 2θ = 5–70°, by intensity)
two_theta, Rel. int.
26.68, 100
29.27, 60
54.05, 22
35.13, 18
55.30, 16
26.01, 13
42.24, 13
29.17, 13
26.12, 12
41.87, 12

Structural model:
```
Ba5Bi3F
1.0
-4.824 4.824 7.923
4.824 -4.824 7.923
4.824 4.824 -7.923
Ba Bi F
10 6 2
Direct
0.000 0.000 0.000
0.009 0.509 0.804
0.206 0.009 0.500
0.294 0.794 0.804
0.491 0.294 0.500
0.500 0.500 0.000
0.509 0.706 0.500
0.706 0.206 0.196
0.794 0.991 0.500
0.991 0.491 0.196
0.151 0.349 0.500
0.250 0.250 0.000
0.349 0.849 0.197
0.651 0.151 0.803
0.750 0.750 0.000
0.849 0.651 0.500
0.250 0.750 0.500
0.750 0.250 0.500
```